[1]
# LaSn2S4
Theoretical powder diffractogram, λ = 1.5418 Å (Cu Kα). Input: a DFT-relaxed cell (PBE, Alexandria).
Intensities are scaled so that the largest is 100.

Crystal structure
```
data_LaSn2S4
_space_group_name_H-M_alt 'P 1'
_space_group_IT_number 1
_cell_length_a 6.8560
_cell_length_b 6.8560
_cell_length_c 13.3633
_cell_angle_alpha 90.00
_cell_angle_beta 90.00
_cell_angle_gamma 146.10
loop_
_space_group_symop_operation_xyz
'x,y,z'
loop_
_atom_site_label
_atom_site_type_symbol
_atom_site_fract_x
_atom_site_fract_y
_atom_site_fract_z
La1 La 0.1143 0.8857 0.7500
La2 La 0.8857 0.1143 0.2500
Sn1 Sn 0.3692 0.6308 0.5648
Sn2 Sn 0.3692 0.6308 0.9352
Sn3 Sn 0.6308 0.3692 0.0648
Sn4 Sn 0.6308 0.3692 0.4352
S1 S 0.0000 0.0000 0.0000
S2 S 0.0000 0.0000 0.5000
S3 S 0.2784 0.7216 0.1219
S4 S 0.2784 0.7216 0.3781
S5 S 0.4596 0.5404 0.7500
S6 S 0.5404 0.4596 0.2500
S7 S 0.7216 0.2784 0.6219
S8 S 0.7216 0.2784 0.8781
```

Most intense lines, 10° ≤ 2θ ≤ 90°, in order of rising 2θ:
2θ (°)  Rel. int.
24.16  100.0
26.86  25.0
27.20  19.5
31.04  44.1
33.19  45.7
41.21  32.1
43.43  20.6
45.37  17.7
45.81  15.2
46.26  23.2
52.05  20.6
66.80  15.6

---

[2]
# La6SnS4
Theoretical powder diffractogram, λ = 1.5418 Å (Cu Kα). Input: a DFT-relaxed cell (PBE, Alexandria).
Intensities are scaled so that the largest is 100.

Crystal structure
```
data_La6SnS4
_space_group_name_H-M_alt 'P 1'
_space_group_IT_number 1
_cell_length_a 7.1758
_cell_length_b 7.1758
_cell_length_c 21.2617
_cell_angle_alpha 90.00
_cell_angle_beta 90.00
_cell_angle_gamma 145.23
loop_
_space_group_symop_operation_xyz
'x,y,z'
loop_
_atom_site_label
_atom_site_type_symbol
_atom_site_fract_x
_atom_site_fract_y
_atom_site_fract_z
La1 La 0.0000 0.0000 0.0000
La2 La 0.0000 0.0000 0.5000
La3 La 0.1659 0.8341 0.7500
La4 La 0.2697 0.7303 0.0834
La5 La 0.2697 0.7303 0.4166
La6 La 0.4602 0.5398 0.6579
La7 La 0.4602 0.5398 0.8421
La8 La 0.5398 0.4602 0.1579
La9 La 0.5398 0.4602 0.3421
La10 La 0.7303 0.2697 0.5834
La11 La 0.7303 0.2697 0.9166
La12 La 0.8341 0.1659 0.2500
Sn1 Sn 0.1581 0.8419 0.2500
Sn2 Sn 0.8419 0.1581 0.7500
S1 S 0.0964 0.9036 0.6226
S2 S 0.0964 0.9036 0.8774
S3 S 0.3628 0.6372 0.5392
S4 S 0.3628 0.6372 0.9608
S5 S 0.6372 0.3628 0.0392
S6 S 0.6372 0.3628 0.4608
S7 S 0.9036 0.0964 0.1226
S8 S 0.9036 0.0964 0.3774
```

Most intense lines, 10° ≤ 2θ ≤ 90°, in order of rising 2θ:
2θ (°)  Rel. int.
25.13  23.3
27.51  55.9
28.36  95.1
28.88  35.4
29.80  100.0
31.28  37.7
40.46  23.0
42.15  33.8
42.70  22.9
43.13  18.4
51.58  52.1
52.02  22.0